1.
# K2NaMg
Theoretical powder X-ray diffraction pattern, λ = 1.5418 Å (Cu Kα). Input: a structure optimized by DFT (GGA-PBE).
Peak positions follow from Bragg's law for the DFT cell and can differ from measured ones.

Structural model:
```
K2NaMg
1.0
5.902 0.000 0.000
0.000 5.902 0.000
0.000 0.000 5.393
K Na Mg
2 1 1
Cartesian
0.000 2.951 0.000 K
2.951 0.000 0.000 K
0.000 0.000 2.696 Na
2.951 2.951 2.696 Mg
```

Principal peaks in the range 15° ≤ 2θ ≤ 90°, low angle first:
d/Å	Rel. int.	index
3.301	100	1 1 1
2.951	37	2 0 0
2.696	14	0 0 2
2.087	13	2 2 0
1.991	21	2 0 2
1.764	28	3 1 1
1.651	22	2 2 2
1.295	13	4 0 2

=====

2.
# NaSrAcI6
Theoretical powder X-ray diffraction pattern, λ = 1.5418 Å (Cu Kα). Input: a structure optimized by DFT (GGA-PBE).
Peak positions follow from Bragg's law for the DFT cell and can differ from measured ones.

Structural model:
```
NaSrAcI6
1.0
7.754 0.000 0.000
0.000 7.754 0.000
0.000 0.000 14.727
Na Sr Ac I
2 2 2 12
Cartesian
0.000 0.000 0.000 Na
3.877 3.877 7.364 Na
0.000 0.000 4.900 Sr
3.877 3.877 12.264 Sr
0.000 0.000 9.829 Ac
3.877 3.877 2.465 Ac
1.529 1.529 12.292 I
1.542 1.542 7.385 I
1.550 1.550 2.420 I
2.327 5.427 9.784 I
2.336 5.419 0.022 I
2.348 5.406 4.929 I
5.406 2.348 4.929 I
5.419 2.336 0.022 I
5.427 2.327 9.784 I
6.204 6.204 2.420 I
6.213 6.213 7.385 I
6.225 6.225 12.292 I
```

Principal peaks in the range 15° ≤ 2θ ≤ 90°, low angle first:
d/Å	Rel. int.	index
5.483	47	1 1 0
3.657	100	1 1 3
3.468	35	2 1 0
2.832	61	2 1 3
2.742	34	2 2 0
2.287	55	3 0 3
1.828	31	3 3 0
1.382	32	3 0 9

=====

3.
# La2NdEr4Sc
Theoretical powder X-ray diffraction pattern, λ = 1.5418 Å (Cu Kα). Input: a structure optimized by DFT (GGA-PBE).
Peak positions follow from Bragg's law for the DFT cell and can differ from measured ones.

Structural model:
```
La2NdEr4Sc
1.0
6.775 0.000 0.000
3.375 8.803 0.000
3.380 -0.998 8.757
La Nd Er Sc
4 2 8 2
Cartesian
0.000 0.000 0.000 La
1.690 -0.499 4.378 La
3.388 0.000 0.000 La
5.075 4.401 0.000 La
3.378 3.902 4.378 Nd
6.765 3.902 4.378 Nd
8.460 2.072 2.076 Er
5.070 5.732 6.681 Er
3.448 1.441 6.578 Er
6.697 1.438 6.576 Er
5.072 1.824 2.299 Er
8.458 5.981 6.458 Er
6.833 6.366 2.181 Er
10.082 6.363 2.178 Er
1.688 4.401 0.000 Sc
5.078 -0.499 4.378 Sc
```

Principal peaks in the range 15° ≤ 2θ ≤ 90°, low angle first:
d/Å	Rel. int.	index
3.286	44	0 2 -2
2.933	100	0 2 2
2.188	85	0 4 0
1.693	20	2 4 4
1.506	22	2 2 6
1.433	20	0 6 -2
1.340	9	0 2 6
1.338	9	0 6 2

=====

Copy entry 3 word for word.
# La2NdEr4Sc
Theoretical powder X-ray diffraction pattern, λ = 1.5418 Å (Cu Kα). Input: a structure optimized by DFT (GGA-PBE).
Peak positions follow from Bragg's law for the DFT cell and can differ from measured ones.

Structural model:
```
La2NdEr4Sc
1.0
6.775 0.000 0.000
3.375 8.803 0.000
3.380 -0.998 8.757
La Nd Er Sc
4 2 8 2
Cartesian
0.000 0.000 0.000 La
1.690 -0.499 4.378 La
3.388 0.000 0.000 La
5.075 4.401 0.000 La
3.378 3.902 4.378 Nd
6.765 3.902 4.378 Nd
8.460 2.072 2.076 Er
5.070 5.732 6.681 Er
3.448 1.441 6.578 Er
6.697 1.438 6.576 Er
5.072 1.824 2.299 Er
8.458 5.981 6.458 Er
6.833 6.366 2.181 Er
10.082 6.363 2.178 Er
1.688 4.401 0.000 Sc
5.078 -0.499 4.378 Sc
```

Principal peaks in the range 15° ≤ 2θ ≤ 90°, low angle first:
d/Å	Rel. int.	index
3.286	44	0 2 -2
2.933	100	0 2 2
2.188	85	0 4 0
1.693	20	2 4 4
1.506	22	2 2 6
1.433	20	0 6 -2
1.340	9	0 2 6
1.338	9	0 6 2